(1)
This entry pairs a crystal structure of PrErPO with its calculated X-ray powder pattern. Radiation: a wavelength of 1.5418 Å. Structure: a structure optimized by DFT (GGA-PBE).

Cell and atoms:
Cell: 4.340 7.371 5.983 Å, 90.00 90.00 90.00°
Space group Pmc2_1 (No. 26)
Symmetry-distinct sites (fractional):
Pr 0.000 0.197 0.000 [2 per cell]
Er 0.500 0.383 0.575 [2 per cell]
P 0.000 0.187 0.495 [2 per cell]
O 0.500 0.343 0.936 [2 per cell]

Most intense lines, 5° ≤ 2θ ≤ 70°, sorted by position:
d (Å)	Rel. int.	index
3.740	70.7	1 1 0
3.171	100.0	1 1 1
3.138	55.9	0 2 1
2.991	51.4	0 0 2
2.336	29.8	1 1 2
1.756	30.4	2 0 2

(2)
This entry pairs a crystal structure of Cd8Pt3 with its calculated X-ray powder pattern. Radiation: a wavelength of 1.5418 Å. Structure: a structure optimized by DFT (GGA-PBE).

Cell and atoms:
Cell: 7.999 8.052 8.145 Å, 70.64 78.12 61.50°
Space group P-1 (No. 2)
Symmetry-distinct sites (fractional):
Cd 0.005 0.100 0.141 [2 per cell]
Cd 0.034 0.621 0.605 [2 per cell]
Cd 0.128 0.647 0.193 [2 per cell]
Cd 0.312 0.983 0.620 [2 per cell]
Cd 0.318 0.224 0.832 [2 per cell]
Cd 0.321 0.176 0.203 [2 per cell]
Cd 0.347 0.719 0.391 [2 per cell]
Cd 0.393 0.561 0.835 [2 per cell]
Pt 0.000 0.000 0.500 [1 per cell]
Pt 0.000 0.500 0.000 [1 per cell]
Pt 0.343 0.337 0.457 [2 per cell]
Pt 0.350 0.839 0.006 [2 per cell]

Most intense lines, 5° ≤ 2θ ≤ 70°, sorted by position:
d (Å)	Rel. int.	index
3.835	22.1	2 1 1
3.804	15.2	-1 1 1
2.393	50.3	2 1 3
2.358	50.5	0 3 1
2.338	100.0	1 2 -2
2.300	89.5	3 3 1

(3)
This entry pairs a crystal structure of Sm2PClO4 with its calculated X-ray powder pattern. Radiation: a wavelength of 1.5418 Å. Structure: a structure optimized by DFT (GGA-PBE).

Cell and atoms:
Cell: 13.582 8.942 4.403 Å, 90.00 90.00 90.00°
Space group Ama2 (No. 40)
Symmetry-distinct sites (fractional):
Sm 0.106 0.220 0.000 [8 per cell]
P 0.250 0.390 0.587 [4 per cell]
Cl 0.000 0.000 0.395 [4 per cell]
O 0.154 0.311 0.485 [8 per cell]
O 0.250 0.057 0.996 [4 per cell]
O 0.250 0.375 0.939 [4 per cell]

Most intense lines, 5° ≤ 2θ ≤ 70°, sorted by position:
d (Å)	Rel. int.	index
4.471	62.2	0 2 0
3.793	66.7	1 1 1
2.976	100.0	3 1 1
2.704	58.9	4 2 0
2.167	31.9	3 3 1
1.742	28.9	7 1 1

(4)
This entry pairs a crystal structure of ScFeAg2 with its calculated X-ray powder pattern. Radiation: a wavelength of 1.5418 Å. Structure: a structure optimized by DFT (GGA-PBE).

Cell and atoms:
Cell: 6.429 6.429 6.429 Å, 90.00 90.00 90.00°
Space group F-43m (No. 216)
Symmetry-distinct sites (fractional):
Sc 0.000 0.000 0.000 [4 per cell]
Fe 0.250 0.250 0.250 [4 per cell]
Ag 0.000 0.000 0.500 [4 per cell]
Ag 0.250 0.250 0.750 [4 per cell]

Most intense lines, 5° ≤ 2θ ≤ 70°, sorted by position:
d (Å)	Rel. int.	index
3.712	17.0	1 1 1
2.273	100.0	2 2 0
1.938	8.6	3 1 1
1.607	15.8	4 0 0
1.475	3.5	3 3 1

(5)
This entry pairs a crystal structure of Li2IrO2F with its calculated X-ray powder pattern. Radiation: a wavelength of 1.5418 Å. Structure: a structure optimized by DFT (GGA-PBE).

Cell and atoms:
Cell: 3.0662 3.0662 6.7533 Å, 90.00 90.00 120.00°
Space group P-3m1 (No. 164)
Symmetry-distinct sites (fractional):
Li 0.3333 0.6667 0.1578 [2 per cell]
Ir 0.0000 0.0000 0.5000 [1 per cell]
O 0.3333 0.6667 0.6597 [2 per cell]
F 0.0000 0.0000 0.0000 [1 per cell]

Most intense lines, 5° ≤ 2θ ≤ 70°, sorted by position:
d (Å)	Rel. int.	index
6.753	100.0	0 0 1
3.377	22.1	0 0 2
2.655	34.1	1 0 0
2.471	43.0	0 1 1
2.087	47.1	0 1 2
1.717	17.7	0 1 3

(6)
This entry pairs a crystal structure of Dy4GaNi2Sn4 with its calculated X-ray powder pattern. Radiation: a wavelength of 1.5418 Å. Structure: a structure optimized by DFT (GGA-PBE).

Cell and atoms:
Cell: 15.840 4.562 7.313 Å, 90.00 108.76 90.00°
Space group C2/m (No. 12)
Symmetry-distinct sites (fractional):
Dy 0.091 0.000 0.394 [4 per cell]
Dy 0.154 0.000 0.955 [4 per cell]
Ga 0.000 0.500 0.000 [2 per cell]
Ni 0.221 0.500 0.654 [4 per cell]
Sn 0.067 0.500 0.682 [4 per cell]
Sn 0.201 0.500 0.275 [4 per cell]

Most intense lines, 5° ≤ 2θ ≤ 70°, sorted by position:
d (Å)	Rel. int.	index
2.801	75.5	3 1 1
2.728	100.0	3 1 -2
2.594	96.7	1 1 2
2.506	27.7	5 1 0
2.308	26.1	0 0 3
2.281	56.9	0 2 0

(7)
This entry pairs a crystal structure of SnPd15 with its calculated X-ray powder pattern. Radiation: a wavelength of 1.5418 Å. Structure: a structure optimized by DFT (GGA-PBE).

Cell and atoms:
Cell: 7.739 2.799 34.588 Å, 90.00 90.00 90.00°
Space group P2_1/m (No. 11)
Symmetry-distinct sites (fractional):
Sn 0.125 0.250 0.194 [2 per cell]
Pd 0.123 0.250 0.683 [2 per cell]
Pd 0.123 0.250 0.767 [2 per cell]
Pd 0.125 0.250 0.276 [2 per cell]
Pd 0.125 0.250 0.358 [2 per cell]
Pd 0.125 0.250 0.439 [2 per cell]
Pd 0.125 0.250 0.602 [2 per cell]
Pd 0.126 0.250 0.520 [2 per cell]
Pd 0.372 0.750 0.233 [2 per cell]
Pd 0.373 0.750 0.317 [2 per cell]
Pd 0.375 0.750 0.398 [2 per cell]
Pd 0.375 0.750 0.480 [2 per cell]
Pd 0.375 0.750 0.561 [2 per cell]
Pd 0.375 0.750 0.643 [2 per cell]
Pd 0.375 0.750 0.724 [2 per cell]
Pd 0.375 0.750 0.804 [2 per cell]

Most intense lines, 5° ≤ 2θ ≤ 70°, sorted by position:
d (Å)	Rel. int.	index
17.294	100.0	0 0 2
2.312	41.5	2 0 12
2.266	59.3	2 1 0
2.192	18.1	2 0 -13
2.008	27.3	0 1 12
1.934	18.2	4 0 0